1.
The following is a simulated PXRD pattern of LiPdBr. It was derived from DFT lattice parameters and positions (GGA-PBE), using Cu Kα (λ = 1.5418 Å).
Lines closer than 0.1° are merged.

Peak list (10 most intense, 10 to 90 degrees two-theta, by angle)
2theta  d/Å  intensity
26.49  3.365  31
27.80  3.209  36
28.07  3.179  51
28.68  3.113  57
30.59  2.922  57
33.54  2.672  32
35.81  2.507  100
44.05  2.056  63
47.39  1.918  46
58.02  1.590  29

```
LiPdBr
1.0
3.372 -1.847 0.000
3.372 1.847 0.000
-2.770 0.000 9.544
Li Pd Br
2 2 2
Direct
0.000 0.000 0.000 Li
0.531 0.531 0.663 Li
0.137 0.137 0.501 Pd
0.408 0.408 0.346 Pd
0.271 0.271 0.819 Br
0.749 0.749 0.155 Br
```



2.
The following is a simulated PXRD pattern of K5Cr2S6. It was derived from DFT lattice parameters and positions (GGA-PBE), using Cu Kα (λ = 1.5418 Å).
Lines closer than 0.1° are merged.

Peak list (10 most intense, 10 to 90 degrees two-theta, by angle)
2theta  d/Å  intensity
11.18  7.912  33
13.95  6.348  100
15.18  5.836  42
26.46  3.369  81
27.17  3.282  77
28.39  3.144  65
29.20  3.059  36
30.18  2.961  30
41.19  2.192  27
43.67  2.073  38

```
K5Cr2S6
1.0
6.223 -3.914 0.000
6.223 3.914 0.000
-3.536 0.000 15.824
K Cr S
10 4 12
Direct
0.119 0.881 0.750 K
0.176 0.696 0.001 K
0.254 0.428 0.276 K
0.304 0.824 0.499 K
0.428 0.254 0.776 K
0.572 0.746 0.224 K
0.696 0.176 0.501 K
0.746 0.572 0.724 K
0.824 0.304 0.999 K
0.881 0.119 0.250 K
0.121 0.420 0.567 Cr
0.420 0.121 0.067 Cr
0.580 0.879 0.933 Cr
0.879 0.580 0.433 Cr
0.090 0.205 0.635 S
0.159 0.288 0.433 S
0.205 0.090 0.135 S
0.288 0.159 0.933 S
0.376 0.492 0.625 S
0.492 0.376 0.125 S
0.508 0.624 0.875 S
0.624 0.508 0.375 S
0.712 0.841 0.067 S
0.795 0.910 0.865 S
0.841 0.712 0.567 S
0.910 0.795 0.365 S
```



3.
The following is a simulated PXRD pattern of BiPdSe3. It was derived from DFT lattice parameters and positions (GGA-PBE), using Cu Kα (λ = 1.5418 Å).
Lines closer than 0.1° are merged.

Peak list (10 most intense, 10 to 90 degrees two-theta, by angle)
2theta  d/Å  intensity
20.15  4.407  100
22.75  3.909  30
24.06  3.699  81
26.14  3.409  74
36.21  2.481  60
37.75  2.383  78
38.44  2.342  29
41.40  2.181  39
44.46  2.038  42
49.30  1.849  38

```
BiPdSe3
1.0
8.574 -2.038 0.000
8.574 2.038 0.000
-3.644 0.000 8.091
Bi Pd Se
2 2 6
Direct
0.114 0.114 0.329 Bi
0.886 0.886 0.671 Bi
0.331 0.331 0.157 Pd
0.669 0.669 0.843 Pd
0.170 0.170 0.013 Se
0.307 0.307 0.414 Se
0.488 0.488 0.316 Se
0.512 0.512 0.684 Se
0.693 0.693 0.586 Se
0.830 0.830 0.987 Se
```



4.
The following is a simulated PXRD pattern of Cd4In2Ag. It was derived from DFT lattice parameters and positions (GGA-PBE), using Cu Kα (λ = 1.5418 Å).
Lines closer than 0.1° are merged.

Peak list (10 most intense, 10 to 90 degrees two-theta, by angle)
2theta  d/Å  intensity
31.57  2.834  83
32.12  2.787  35
33.60  2.667  98
34.25  2.618  49
35.63  2.520  78
38.56  2.335  100
39.60  2.276  63
55.86  1.646  74
68.04  1.378  66
68.71  1.366  33

```
Cd4In2Ag
1.0
1.646 0.950 17.638
-1.646 0.950 17.638
0.000 -1.900 17.638
Cd In Ag
4 2 1
Direct
0.144 0.144 0.144 Cd
0.292 0.292 0.292 Cd
0.708 0.708 0.708 Cd
0.856 0.856 0.856 Cd
0.237 0.237 0.237 In
0.763 0.763 0.763 In
0.000 0.000 0.000 Ag
```



5.
The following is a simulated PXRD pattern of Al5Mo. It was derived from DFT lattice parameters and positions (GGA-PBE), using Cu Kα (λ = 1.5418 Å).
Lines closer than 0.1° are merged.

Peak list (10 most intense, 10 to 90 degrees two-theta, by angle)
2theta  d/Å  intensity
20.04  4.431  16
23.18  3.838  50
36.55  2.458  25
37.04  2.427  15
37.98  2.369  18
40.73  2.215  27
42.03  2.150  100
65.80  1.419  19
75.03  1.266  18
80.34  1.195  21

```
Al5Mo
1.0
4.917 0.000 0.000
-2.458 4.258 0.000
0.000 0.000 8.862
Al Mo
10 2
Direct
0.000 0.000 0.250 Al
0.000 0.000 0.750 Al
0.000 0.338 0.000 Al
0.000 0.662 0.500 Al
0.333 0.667 0.250 Al
0.338 0.000 0.000 Al
0.338 0.338 0.500 Al
0.662 0.000 0.500 Al
0.662 0.662 0.000 Al
0.667 0.333 0.750 Al
0.333 0.667 0.750 Mo
0.667 0.333 0.250 Mo
```



6.
The following is a simulated PXRD pattern of Na8TlS6. It was derived from DFT lattice parameters and positions (GGA-PBE), using Cu Kα (λ = 1.5418 Å).
Lines closer than 0.1° are merged.

Peak list (10 most intense, 10 to 90 degrees two-theta, by angle)
2theta  d/Å  intensity
12.76  6.935  73
13.91  6.365  100
15.82  5.603  48
21.01  4.228  35
21.60  4.114  83
25.69  3.468  38
27.09  3.292  38
28.04  3.183  60
32.92  2.721  34
44.02  2.057  53

```
Na8TlS6
1.0
7.480 0.000 0.000
0.000 8.456 0.000
0.000 0.000 12.119
Na Tl S
16 2 12
Direct
0.000 0.133 0.000 Na
0.000 0.243 0.434 Na
0.209 0.568 0.782 Na
0.215 0.947 0.769 Na
0.223 0.734 0.108 Na
0.277 0.266 0.608 Na
0.285 0.053 0.269 Na
0.291 0.432 0.282 Na
0.500 0.757 0.934 Na
0.500 0.867 0.500 Na
0.709 0.432 0.282 Na
0.715 0.053 0.269 Na
0.723 0.266 0.608 Na
0.777 0.734 0.108 Na
0.785 0.947 0.769 Na
0.791 0.568 0.782 Na
0.000 0.745 0.476 Tl
0.500 0.255 0.976 Tl
0.000 0.005 0.585 S
0.000 0.246 0.217 S
0.000 0.492 0.590 S
0.000 0.782 0.926 S
0.239 0.255 0.837 S
0.261 0.745 0.337 S
0.500 0.218 0.426 S
0.500 0.508 0.090 S
0.500 0.754 0.717 S
0.500 0.995 0.085 S
0.739 0.745 0.337 S
0.761 0.255 0.837 S
```



7.
The following is a simulated PXRD pattern of Ti3CdAs. It was derived from DFT lattice parameters and positions (GGA-PBE), using Cu Kα (λ = 1.5418 Å).
Lines closer than 0.1° are merged.

Peak list (10 most intense, 10 to 90 degrees two-theta, by angle)
2theta  d/Å  intensity
26.74  3.333  97
32.91  2.722  59
38.18  2.357  100
47.23  1.925  41
55.10  1.667  65
62.28  1.491  18
65.69  1.421  20
69.01  1.361  21
75.45  1.260  20
87.87  1.111  11

```
Ti3CdAs
1.0
4.714 0.000 0.000
0.000 4.714 0.000
0.000 0.000 4.714
Ti Cd As
3 1 1
Direct
0.000 0.000 0.500 Ti
0.000 0.500 0.000 Ti
0.500 0.000 0.000 Ti
0.500 0.500 0.500 Cd
0.000 0.000 0.000 As
```



8.
The following is a simulated PXRD pattern of KZn2In9. It was derived from DFT lattice parameters and positions (GGA-PBE), using Cu Kα (λ = 1.5418 Å).
Lines closer than 0.1° are merged.

Peak list (10 most intense, 10 to 90 degrees two-theta, by angle)
2theta  d/Å  intensity
12.79  6.919  17
14.12  6.275  19
31.20  2.867  66
31.89  2.806  39
33.18  2.700  18
36.22  2.480  29
37.43  2.403  100
38.75  2.324  22
56.39  1.632  17
60.51  1.530  15

```
KZn2In9
1.0
-6.275 6.275 4.147
6.275 -6.275 4.147
6.275 6.275 -4.147
K Zn In
2 4 18
Direct
0.375 0.625 0.750 K
0.625 0.375 0.250 K
0.000 0.000 0.000 Zn
0.000 0.000 0.500 Zn
0.000 0.500 0.000 Zn
0.500 0.000 0.500 Zn
0.123 0.554 0.322 In
0.123 0.801 0.569 In
0.125 0.875 0.250 In
0.199 0.268 0.322 In
0.199 0.877 0.931 In
0.268 0.199 0.822 In
0.268 0.446 0.069 In
0.446 0.268 0.569 In
0.446 0.877 0.178 In
0.554 0.123 0.822 In
0.554 0.732 0.431 In
0.732 0.554 0.931 In
0.732 0.801 0.178 In
0.801 0.123 0.069 In
0.801 0.732 0.678 In
0.875 0.125 0.750 In
0.877 0.199 0.431 In
0.877 0.446 0.678 In
```



9.
The following is a simulated PXRD pattern of Ga8Cu3Mo2. It was derived from DFT lattice parameters and positions (GGA-PBE), using Cu Kα (λ = 1.5418 Å).
Lines closer than 0.1° are merged.

Peak list (10 most intense, 10 to 90 degrees two-theta, by angle)
2theta  d/Å  intensity
18.07  4.910  14
20.89  4.252  13
27.75  3.214  7
38.15  2.359  10
41.11  2.196  9
42.52  2.126  100
43.89  2.063  12
61.70  1.503  12
74.90  1.268  7
77.81  1.228  20

```
Ga8Cu3Mo2
1.0
-6.014 6.014 6.014
6.014 -6.014 6.014
6.014 6.014 -6.014
Ga Cu Mo
32 12 8
Direct
0.000 0.211 0.500 Ga
0.000 0.267 0.010 Ga
0.000 0.711 0.500 Ga
0.000 0.767 0.010 Ga
0.010 0.000 0.267 Ga
0.010 0.000 0.767 Ga
0.211 0.500 0.000 Ga
0.233 0.233 0.743 Ga
0.233 0.743 0.233 Ga
0.243 0.733 0.733 Ga
0.257 0.990 0.490 Ga
0.267 0.010 0.000 Ga
0.267 0.500 0.510 Ga
0.289 0.289 0.289 Ga
0.490 0.257 0.990 Ga
0.490 0.757 0.990 Ga
0.500 0.000 0.211 Ga
0.500 0.000 0.711 Ga
0.500 0.510 0.267 Ga
0.500 0.510 0.767 Ga
0.510 0.267 0.500 Ga
0.510 0.767 0.500 Ga
0.711 0.500 0.000 Ga
0.733 0.243 0.733 Ga
0.733 0.733 0.243 Ga
0.743 0.233 0.233 Ga
0.757 0.990 0.490 Ga
0.767 0.010 0.000 Ga
0.767 0.500 0.510 Ga
0.789 0.789 0.789 Ga
0.990 0.490 0.257 Ga
0.990 0.490 0.757 Ga
0.018 0.250 0.268 Cu
0.232 0.482 0.750 Cu
0.250 0.268 0.018 Cu
0.250 0.982 0.732 Cu
0.268 0.018 0.250 Cu
0.482 0.750 0.232 Cu
0.518 0.768 0.750 Cu
0.732 0.250 0.982 Cu
0.750 0.232 0.482 Cu
0.750 0.518 0.768 Cu
0.768 0.750 0.518 Cu
0.982 0.732 0.250 Cu
0.000 0.459 0.500 Mo
0.000 0.959 0.500 Mo
0.041 0.041 0.041 Mo
0.459 0.500 0.000 Mo
0.500 0.000 0.459 Mo
0.500 0.000 0.959 Mo
0.541 0.541 0.541 Mo
0.959 0.500 0.000 Mo
```



10.
The following is a simulated PXRD pattern of YMg3. It was derived from DFT lattice parameters and positions (GGA-PBE), using Cu Kα (λ = 1.5418 Å).
Lines closer than 0.1° are merged.

Peak list (10 most intense, 10 to 90 degrees two-theta, by angle)
2theta  d/Å  intensity
14.24  6.221  55
17.52  5.061  39
22.65  3.926  47
33.36  2.686  31
33.82  2.650  100
33.94  2.641  88
34.33  2.612  45
35.47  2.531  44
50.19  1.818  29
62.68  1.482  30

```
YMg3
1.0
3.240 0.000 0.000
0.000 5.061 0.000
-1.323 0.000 6.221
Y Mg
1 3
Direct
0.000 0.000 0.000 Y
0.338 0.500 0.739 Mg
0.500 0.000 0.500 Mg
0.662 0.500 0.261 Mg
```



11.
The following is a simulated PXRD pattern of Cs4LiPb4O6. It was derived from DFT lattice parameters and positions (GGA-PBE), using Cu Kα (λ = 1.5418 Å).
Lines closer than 0.1° are merged.

Peak list (10 most intense, 10 to 90 degrees two-theta, by angle)
2theta  d/Å  intensity
25.86  3.445  48
26.12  3.411  46
26.95  3.308  85
28.18  3.167  100
38.94  2.313  24
41.58  2.172  20
47.84  1.901  18
48.15  1.890  17
49.62  1.837  17
49.77  1.832  18

```
Cs4LiPb4O6
1.0
6.855 -4.343 0.000
6.855 4.343 0.000
-6.176 0.000 6.890
Cs Li Pb O
4 1 4 6
Direct
0.201 0.201 0.204 Cs
0.219 0.243 0.730 Cs
0.757 0.781 0.270 Cs
0.799 0.799 0.796 Cs
0.470 0.530 0.500 Li
0.213 0.717 0.207 Pb
0.283 0.787 0.793 Pb
0.711 0.232 0.232 Pb
0.768 0.289 0.768 Pb
0.257 0.743 0.000 O
0.495 0.014 0.009 O
0.679 0.321 0.500 O
0.986 0.505 0.991 O
0.992 0.004 0.734 O
0.996 0.008 0.266 O
```



12.
The following is a simulated PXRD pattern of KNpSO2. It was derived from DFT lattice parameters and positions (GGA-PBE), using Cu Kα (λ = 1.5418 Å).
Lines closer than 0.1° are merged.

Peak list (10 most intense, 10 to 90 degrees two-theta, by angle)
2theta  d/Å  intensity
16.53  5.363  50
20.84  4.262  81
26.72  3.337  100
29.64  3.014  51
33.42  2.681  28
39.71  2.270  35
42.41  2.131  30
45.27  2.003  31
50.84  1.796  36
55.04  1.668  26

```
KNpSO2
1.0
4.262 0.000 0.000
0.000 4.262 0.000
0.000 0.000 5.363
K Np S O
1 1 1 2
Direct
0.000 0.000 0.000 K
0.500 0.500 0.445 Np
0.500 0.500 0.941 S
0.000 0.500 0.432 O
0.500 0.000 0.432 O
```



Copy entry 7 word for word.
The following is a simulated PXRD pattern of Ti3CdAs. It was derived from DFT lattice parameters and positions (GGA-PBE), using Cu Kα (λ = 1.5418 Å).
Lines closer than 0.1° are merged.

Peak list (10 most intense, 10 to 90 degrees two-theta, by angle)
2theta  d/Å  intensity
26.74  3.333  97
32.91  2.722  59
38.18  2.357  100
47.23  1.925  41
55.10  1.667  65
62.28  1.491  18
65.69  1.421  20
69.01  1.361  21
75.45  1.260  20
87.87  1.111  11

```
Ti3CdAs
1.0
4.714 0.000 0.000
0.000 4.714 0.000
0.000 0.000 4.714
Ti Cd As
3 1 1
Direct
0.000 0.000 0.500 Ti
0.000 0.500 0.000 Ti
0.500 0.000 0.000 Ti
0.500 0.500 0.500 Cd
0.000 0.000 0.000 As
```